Simulated powder XRD pattern of MgI2O6 for Cu Kα, 1.54184 Å, from a structure optimized by DFT (GGA-PBE).
Intensities are scaled so that the largest is 100.

The 10 most intense peaks (10° ≤ 2θ ≤ 80°), low angle first:
2theta	intensity
18.16	18
25.44	100
31.73	29
40.39	8
41.10	20
48.54	26
52.83	24
56.52	9
67.87	7
72.23	11

Atomic structure:
```
data_MgI2O6
_space_group_name_H-M_alt 'P 1'
_space_group_IT_number 1
_cell_length_a 5.640
_cell_length_b 5.640
_cell_length_c 5.023
_cell_angle_alpha 90.00
_cell_angle_beta 90.00
_cell_angle_gamma 120.00
loop_
_space_group_symop_operation_xyz
'x,y,z'
loop_
_atom_site_label
_atom_site_type_symbol
_atom_site_fract_x
_atom_site_fract_y
_atom_site_fract_z
Mg1 Mg 0.000 0.000 0.000
I1 I 0.333 0.667 0.590
I2 I 0.667 0.333 0.049
O1 O 0.084 0.354 0.763
O2 O 0.270 0.916 0.763
O3 O 0.349 0.253 0.224
O4 O 0.646 0.730 0.763
O5 O 0.747 0.096 0.224
O6 O 0.904 0.651 0.224
```

=====

Simulated powder XRD pattern of LiGa2Re2 for Cu Kα, 1.54184 Å, from a structure optimized by DFT (GGA-PBE).
Intensities are scaled so that the largest is 100.

The 10 most intense peaks (10° ≤ 2θ ≤ 80°), low angle first:
2theta	intensity
14.31	100
25.07	15
28.85	13
34.20	12
37.24	72
43.92	21
45.33	53
49.14	25
51.45	16
67.99	19

Atomic structure:
```
data_LiGa2Re2
_space_group_name_H-M_alt 'P 1'
_space_group_IT_number 1
_cell_length_a 3.708
_cell_length_b 3.708
_cell_length_c 12.377
_cell_angle_alpha 90.00
_cell_angle_beta 90.00
_cell_angle_gamma 90.00
loop_
_space_group_symop_operation_xyz
'x,y,z'
loop_
_atom_site_label
_atom_site_type_symbol
_atom_site_fract_x
_atom_site_fract_y
_atom_site_fract_z
Li1 Li 0.000 0.000 0.000
Li2 Li 0.500 0.500 0.500
Ga1 Ga 0.000 0.000 0.402
Ga2 Ga 0.000 0.000 0.598
Ga3 Ga 0.500 0.500 0.098
Ga4 Ga 0.500 0.500 0.902
Re1 Re 0.000 0.500 0.250
Re2 Re 0.000 0.500 0.750
Re3 Re 0.500 0.000 0.250
Re4 Re 0.500 0.000 0.750
```

=====

Simulated powder XRD pattern of CaCu2AsS4 for Cu Kα, 1.54184 Å, from a structure optimized by DFT (GGA-PBE).
Intensities are scaled so that the largest is 100.

The 10 most intense peaks (10° ≤ 2θ ≤ 80°), low angle first:
2theta	intensity
17.46	8
27.58	100
30.81	8
44.13	23
46.65	36
52.83	29
57.21	11
64.17	7
71.22	5
74.97	8

Atomic structure:
```
data_CaCu2AsS4
_space_group_name_H-M_alt 'P 1'
_space_group_IT_number 1
_cell_length_a 5.805
_cell_length_b 5.805
_cell_length_c 10.503
_cell_angle_alpha 90.00
_cell_angle_beta 90.00
_cell_angle_gamma 90.00
loop_
_space_group_symop_operation_xyz
'x,y,z'
loop_
_atom_site_label
_atom_site_type_symbol
_atom_site_fract_x
_atom_site_fract_y
_atom_site_fract_z
Ca1 Ca 0.000 0.000 0.000
Ca2 Ca 0.500 0.500 0.500
Cu1 Cu 0.000 0.500 0.250
Cu2 Cu 0.000 0.500 0.750
Cu3 Cu 0.500 0.000 0.250
Cu4 Cu 0.500 0.000 0.750
As1 As 0.000 0.000 0.500
As2 As 0.500 0.500 0.000
S1 S 0.224 0.224 0.647
S2 S 0.224 0.776 0.353
S3 S 0.276 0.276 0.147
S4 S 0.276 0.724 0.853
S5 S 0.724 0.276 0.853
S6 S 0.724 0.724 0.147
S7 S 0.776 0.224 0.353
S8 S 0.776 0.776 0.647
```